Computed XRD peak list of RbFe2F6 for Cu Kα, 1.54184 Å, from a DFT-relaxed cell (PBE+U, Alexandria).
Peak positions follow from Bragg's law for the DFT cell and can differ from measured ones.

Structure:
```
RbFe2F6
1.0
7.1463 0.0000 0.0000
0.0000 7.5658 0.0000
0.0000 0.0000 10.3470
Rb Fe F
4 8 24
direct
0.0017 0.2500 0.1192
0.4983 0.7500 0.6192
0.5017 0.2500 0.3808
0.9983 0.7500 0.8808
0.0000 0.0000 0.5000
0.0000 0.5000 0.5000
0.2033 0.2500 0.7687
0.2967 0.7500 0.2687
0.5000 0.0000 0.0000
0.5000 0.5000 0.0000
0.7033 0.2500 0.7313
0.7967 0.7500 0.2313
0.0637 0.7500 0.1618
0.0664 0.2500 0.4626
0.1251 0.0119 0.6664
0.1251 0.4881 0.6664
0.2374 0.5642 0.4203
0.2374 0.9358 0.4203
0.2626 0.0642 0.9203
0.2626 0.4358 0.9203
0.3749 0.5119 0.1664
0.3749 0.9881 0.1664
0.4336 0.7500 0.9626
0.4363 0.2500 0.6618
0.5637 0.7500 0.3382
0.5664 0.2500 0.0374
0.6251 0.0119 0.8336
0.6251 0.4881 0.8336
0.7374 0.5642 0.0797
0.7374 0.9358 0.0797
0.7626 0.0642 0.5797
0.7626 0.4358 0.5797
0.8749 0.5119 0.3336
0.8749 0.9881 0.3336
0.9336 0.7500 0.5374
0.9363 0.2500 0.8382
```

The 10 most intense peaks (10° ≤ 2θ ≤ 90°), in order of falling intensity:
| hkl | d [Å] | I_rel |
| --- | --- | --- |
| 1 2 1 | 3.181 | 100 |
| 2 1 1 | 3.084 | 59 |
| 2 2 4 | 1.833 | 44 |
| 1 0 3 | 3.106 | 41 |
| 0 1 3 | 3.138 | 38 |
| 1 1 2 | 3.666 | 29 |
| 0 2 2 | 3.054 | 24 |
| 0 4 0 | 1.891 | 23 |
| 2 0 2 | 2.940 | 22 |
| 0 3 3 | 2.036 | 22 |